Computed powder diffractogram of NiAg2HgF8 for Cu Kα, from a PBE+U-relaxed structure.
No peak broadening, texture or thermal motion is included.

Crystal structure
Lattice parameters (Å, degrees): 6.798 6.798 6.798 132.62 132.62 69.25
Atoms (fractional coordinates):
Ni (0.000, 0.000, 0.000)
Ag (0.250, 0.750, 0.500)
Ag (0.500, 0.500, 0.000)
Hg (0.750, 0.250, 0.500)
F (0.087, 0.694, 0.997)
F (0.162, 0.149, 0.593)
F (0.306, 0.303, 0.394)
F (0.430, 0.838, 0.987)
F (0.556, 0.570, 0.407)
F (0.697, 0.090, 0.003)
F (0.851, 0.444, 0.013)
F (0.910, 0.913, 0.606)

Main lines, sorted by position (10° ≤ 2θ ≤ 90°):
| 2θ/deg | d_spacing | I (rel.) |
| --- | --- | --- |
| 18.07 | 4.909 | 10 |
| 28.07 | 3.178 | 100 |
| 32.79 | 2.731 | 18 |
| 46.47 | 1.954 | 37 |
| 47.05 | 1.931 | 17 |
| 54.66 | 1.679 | 15 |
| 55.69 | 1.650 | 30 |
| 58.04 | 1.589 | 9 |
| 74.95 | 1.267 | 12 |
| 87.06 | 1.119 | 9 |